Structure and simulated PXRD pattern of LiFeP4O12 (a DFT-relaxed cell (PBE+U, the Materials Project); Cu Kα X-rays).
Peak positions follow from Bragg's law for the DFT cell and can differ from measured ones.

The 6 most intense peaks (2θ from 15° to 90°), low angle first:
| two_theta | Rel. int. | hkl |
| --- | --- | --- |
| 16.2 | 418 | 1 1 0 |
| 19.4 | 414 | 0 2 0 |
| 23.0 | 615 | 0 2 1 |
| 26.0 | 521 | 1 2 -1 |
| 27.1 | 1000 | 1 2 1 |
| 29.7 | 464 | 2 1 -1 |

Crystal structure
```
data_LiFeP4O12
_chemical_formula_sum 'Li2 Fe2 P8 O24'
_cell_length_a 6.846
_cell_length_b 9.171
_cell_length_c 7.195
_cell_angle_alpha 90.00
_cell_angle_beta 95.03
_cell_angle_gamma 90.00
_symmetry_space_group_name_H-M 'P 1 21 1'
_symmetry_Int_Tables_number 4
loop_
_symmetry_equiv_pos_as_xyz
'x,y,z'
'-x,y+1/2,-z'
loop_
_atom_site_label
_atom_site_fract_x
_atom_site_fract_y
_atom_site_fract_z
Li1 0.237 0.000 0.282
Fe1 0.230 0.714 0.745
P1 0.071 0.143 0.937
P2 0.078 0.492 0.412
P3 0.440 0.313 0.911
P4 0.470 0.607 0.406
O1 0.007 0.123 0.717
O2 0.018 0.849 0.642
O3 0.070 0.540 0.614
O4 0.112 0.691 0.977
O5 0.175 0.014 0.021
O6 0.208 0.283 0.924
O7 0.303 0.481 0.363
O8 0.341 0.041 0.526
O9 0.378 0.721 0.525
O10 0.455 0.452 0.807
O11 0.462 0.795 0.893
O12 0.484 0.674 0.203
```